Starting from the PBE geometry in Alexandria, the powder diffractogram of Ho7ErAl4 was simulated for λ = 1.5418 Å (Cu Kα).
Neutral-atom scattering factors, no anomalous dispersion.

Structure:
```
data_Ho7ErAl4
_chemical_formula_sum 'Ho14 Er2 Al8'
_space_group_name_H-M_alt 'C 1 2/m 1'
_space_group_IT_number 12
_cell_length_a 13.799
_cell_length_b 5.463
_cell_length_c 10.354
_cell_angle_alpha 90.00
_cell_angle_beta 124.55
_cell_angle_gamma 90.00
loop_
_space_group_symop_operation_xyz
'x,y,z'
'-x,-y,-z'
'-x,y,-z'
'x,-y,z'
'x+1/2,y+1/2,z'
'-x+1/2,-y+1/2,-z'
'-x+1/2,y+1/2,-z'
'x+1/2,-y+1/2,z'
loop_
_atom_site_label
_atom_site_type_symbol
_atom_site_fract_x
_atom_site_fract_y
_atom_site_fract_z
_atom_site_occupancy
Ho1 Ho 0.000 0.000 0.000 1
Ho2 Ho 0.065 0.500 0.389 1
Ho3 Ho 0.204 0.000 0.647 1
Ho4 Ho 0.213 0.500 0.878 1
Er1 Er 0.000 0.500 0.000 1
Al1 Al 0.055 0.000 0.763 1
Al2 Al 0.177 0.000 0.333 1
```

Most intense lines, 2θ from 10° to 90°, by angle:
2θ/deg  intensity  h k l
24.02  67  1 1 -2
26.87  74  4 0 -1
29.24  58  4 0 -3
30.93  83  1 1 2
31.19  77  3 1 -3
31.48  43  4 0 0
32.79  100  0 2 0
38.44  46  5 1 -1
42.88  45  4 2 -1
46.09  46  2 0 -5